1.
Calculated powder diffractogram
Compound: PuBRu
Radiation: Cu Kα (λ = 1.5418 Å)
Structure: a DFT-relaxed cell (GGA-PBE, Alexandria)
No peak broadening, texture or thermal motion is included.

Largest 6 diffraction maxima, low angle first, 5° ≤ 2θ ≤ 70°:
| two_theta | I (rel.) |
| --- | --- |
| 26.04 | 41 |
| 26.54 | 41 |
| 37.52 | 69 |
| 37.97 | 100 |
| 42.94 | 31 |
| 46.68 | 24 |

```
12
Lattice="6.845 0.000 0.000 0.000 3.892 0.000 0.000 0.000 6.642" Properties=species:S:1:pos:R:3 pbc="T T T"
Pu 0.056 0.973 1.098
Pu 3.367 2.919 4.419
Pu 3.478 0.973 2.223
Pu 6.789 2.919 5.544
B 1.292 2.919 2.643
B 2.131 0.973 5.964
B 4.714 2.919 0.678
B 5.553 0.973 3.999
Ru 0.955 0.973 3.820
Ru 2.467 2.919 0.499
Ru 4.378 0.973 6.143
Ru 5.889 2.919 2.822
```

***

2.
Calculated powder diffractogram
Compound: PuBRu3
Radiation: Cu Kα (λ = 1.5418 Å)
Structure: a DFT-relaxed cell (GGA-PBE, Alexandria)
No peak broadening, texture or thermal motion is included.

Largest 6 diffraction maxima, low angle first, 5° ≤ 2θ ≤ 70°:
| two_theta | I (rel.) |
| --- | --- |
| 36.81 | 94 |
| 38.24 | 100 |
| 39.89 | 84 |
| 40.21 | 44 |
| 42.82 | 39 |
| 44.00 | 49 |

```
10
Lattice="4.224 -5.669 0.000 4.224 5.669 0.000 0.000 0.000 2.992" Properties=species:S:1:pos:R:3 pbc="T T T"
Pu 4.224 3.182 0.000
Pu 4.224 -3.182 0.000
B 1.730 0.000 0.000
B 6.719 0.000 0.000
Ru 0.000 0.000 1.496
Ru 2.423 1.423 1.496
Ru 2.423 -1.423 1.496
Ru 4.224 0.000 0.000
Ru 6.025 1.423 1.496
Ru 6.025 -1.423 1.496
```

***

3.
Calculated powder diffractogram
Compound: PuBRu3
Radiation: Cu Kα (λ = 1.5418 Å)
Structure: a DFT-relaxed cell (GGA-PBE, Alexandria)
No peak broadening, texture or thermal motion is included.

Largest 6 diffraction maxima, low angle first, 5° ≤ 2θ ≤ 70°:
| two_theta | I (rel.) |
| --- | --- |
| 24.48 | 21 |
| 35.65 | 100 |
| 37.40 | 20 |
| 38.94 | 75 |
| 39.30 | 32 |
| 44.10 | 37 |

```
10
Lattice="4.625 0.000 0.000 0.000 4.107 0.000 -1.034 0.000 7.815" Properties=species:S:1:pos:R:3 pbc="T T T"
Pu 0.013 1.027 1.284
Pu 3.579 3.080 6.531
B 1.397 3.080 2.623
B 2.195 1.027 5.192
Ru -0.272 1.027 4.682
Ru 1.457 3.080 4.780
Ru 1.182 1.027 7.041
Ru 2.410 3.080 0.774
Ru 2.134 1.027 3.035
Ru 3.864 3.080 3.133
```

***

4.
Calculated powder diffractogram
Compound: SrPuB12
Radiation: Cu Kα (λ = 1.5418 Å)
Structure: a DFT-relaxed cell (GGA-PBE, Alexandria)
No peak broadening, texture or thermal motion is included.

Largest 6 diffraction maxima, low angle first, 5° ≤ 2θ ≤ 70°:
| two_theta | I (rel.) |
| --- | --- |
| 18.50 | 40 |
| 21.40 | 68 |
| 30.44 | 100 |
| 37.51 | 42 |
| 49.05 | 51 |
| 54.09 | 29 |

```
14
Lattice="0.000 4.153 4.153 4.153 0.000 4.153 4.153 4.153 0.000" Properties=species:S:1:pos:R:3 pbc="T T T"
Sr 0.000 0.000 0.000
Pu 4.153 4.153 4.153
B 2.076 2.076 0.833
B 2.076 0.833 2.076
B 3.320 2.076 2.076
B 0.833 2.076 2.076
B 2.076 3.320 2.076
B 2.076 2.076 3.320
B 6.229 6.229 4.986
B 6.229 4.986 6.229
B 7.473 6.229 6.229
B 4.986 6.229 6.229
B 6.229 7.473 6.229
B 6.229 6.229 7.473
```

***

5.
Calculated powder diffractogram
Compound: TbPuB12
Radiation: Cu Kα (λ = 1.5418 Å)
Structure: a DFT-relaxed cell (GGA-PBE, Alexandria)
No peak broadening, texture or thermal motion is included.

Largest 6 diffraction maxima, low angle first, 5° ≤ 2θ ≤ 70°:
| two_theta | I (rel.) |
| --- | --- |
| 21.65 | 77 |
| 30.81 | 100 |
| 37.97 | 42 |
| 49.67 | 52 |
| 54.79 | 31 |
| 68.60 | 28 |

```
14
Lattice="4.104 0.000 0.000 0.000 4.104 0.000 0.000 0.000 8.208" Properties=species:S:1:pos:R:3 pbc="T T T"
Tb 0.000 0.000 0.000
Pu 0.000 0.000 4.104
B 0.816 2.052 2.046
B 0.816 2.052 6.162
B 2.052 0.816 2.046
B 2.052 0.816 6.162
B 2.052 2.052 0.815
B 2.052 2.052 3.288
B 2.052 2.052 4.921
B 2.052 2.052 7.394
B 2.052 3.288 2.046
B 2.052 3.288 6.162
B 3.288 2.052 2.046
B 3.288 2.052 6.162
```

***

6.
Calculated powder diffractogram
Compound: PuTc3B3
Radiation: Cu Kα (λ = 1.5418 Å)
Structure: a DFT-relaxed cell (GGA-PBE, Alexandria)
No peak broadening, texture or thermal motion is included.

Largest 6 diffraction maxima, low angle first, 5° ≤ 2θ ≤ 70°:
| two_theta | I (rel.) |
| --- | --- |
| 26.00 | 40 |
| 26.44 | 40 |
| 33.38 | 100 |
| 35.87 | 84 |
| 39.13 | 31 |
| 44.70 | 37 |

```
14
Lattice="7.104 0.000 0.000 0.000 4.054 0.000 -3.186 0.000 6.435" Properties=species:S:1:pos:R:3 pbc="T T T"
Pu -0.562 1.014 2.420
Pu 4.481 3.041 4.015
Tc 1.163 1.014 0.200
Tc -0.040 3.041 5.576
Tc 2.235 3.041 2.097
Tc 1.683 1.014 4.338
Tc 3.959 1.014 0.859
Tc 2.756 3.041 6.235
B 0.646 3.041 0.847
B -0.554 1.014 5.159
B 1.051 3.041 3.820
B 2.867 1.014 2.615
B 4.472 3.041 1.276
B 3.273 1.014 5.588
```